UGe2Rh: theoretical powder XRD pattern (Cu Kα X-rays), based on a DFT-relaxed cell (PBE, the Materials Project).
Kinematic intensities with the Lorentz-polarization factor, no thermal factor.

Cell and atoms:
```
UGe2Rh
1.0
-2.169 4.397 7.993
2.169 -4.397 7.993
2.169 4.397 -7.993
U Ge Rh
4 8 4
Direct
0.205 0.205 0.000
0.237 0.000 0.237
0.763 0.000 0.763
0.795 0.795 0.000
0.076 0.576 0.500
0.148 0.802 0.347
0.424 0.424 0.000
0.455 0.802 0.653
0.545 0.198 0.347
0.576 0.576 0.000
0.852 0.198 0.653
0.924 0.424 0.500
0.105 0.353 0.751
0.398 0.647 0.751
0.602 0.353 0.249
0.895 0.647 0.249
```

Peak list (10 most intense, 15° ≤ 2θ ≤ 90°, by angle)
- 2θ = 23.09°, d 3.852, I = 18.2
- 2θ = 33.55°, d 2.671, I = 100.0
- 2θ = 34.87°, d 2.573, I = 85.8
- 2θ = 38.75°, d 2.324, I = 25.6
- 2θ = 39.55°, d 2.279, I = 24.0
- 2θ = 41.06°, d 2.198, I = 19.7
- 2θ = 41.64°, d 2.169, I = 37.1
- 2θ = 59.92°, d 1.544, I = 19.1
- 2θ = 70.02°, d 1.344, I = 17.1
- 2θ = 71.65°, d 1.317, I = 16.1

MgP4Br12O4: theoretical powder XRD pattern (Cu Kα X-rays), based on a DFT-relaxed cell (PBE, the Materials Project).
Kinematic intensities with the Lorentz-polarization factor, no thermal factor.

Cell and atoms:
```
MgP4Br12O4
1.0
7.579 0.000 0.000
1.859 9.672 0.000
1.463 0.081 11.024
Mg P Br O
1 4 12 4
Direct
0.000 0.000 0.000
0.054 0.196 0.228
0.241 0.238 0.732
0.424 0.689 0.155
0.757 0.727 0.603
0.020 0.104 0.762
0.093 0.442 0.791
0.167 0.382 0.227
0.214 0.038 0.333
0.240 0.790 0.965
0.426 0.155 0.865
0.579 0.923 0.563
0.593 0.568 0.582
0.595 0.506 0.042
0.681 0.988 0.043
0.783 0.240 0.330
0.972 0.695 0.448
0.051 0.144 0.103
0.288 0.632 0.242
0.322 0.230 0.603
0.823 0.725 0.722
```

Peak list (10 most intense, 15° ≤ 2θ ≤ 90°, by angle)
- 2θ = 18.47°, d 4.804, I = 100.0
- 2θ = 18.82°, d 4.715, I = 74.3
- 2θ = 20.92°, d 4.245, I = 50.4
- 2θ = 21.32°, d 4.168, I = 52.6
- 2θ = 21.98°, d 4.044, I = 48.0
- 2θ = 24.10°, d 3.693, I = 40.0
- 2θ = 26.46°, d 3.369, I = 54.8
- 2θ = 27.53°, d 3.239, I = 58.9
- 2θ = 28.05°, d 3.181, I = 43.6
- 2θ = 28.77°, d 3.103, I = 39.4

Ba3Ni3N5: theoretical powder XRD pattern (Cu Kα X-rays), based on a DFT-relaxed cell (PBE, the Materials Project).
Kinematic intensities with the Lorentz-polarization factor, no thermal factor.

Cell and atoms:
```
Ba3Ni3N5
1.0
6.283 0.000 0.000
-0.718 7.371 0.000
-2.847 -3.569 8.162
Ba Ni N
6 6 10
Direct
0.043 0.036 0.216
0.274 0.471 0.113
0.300 0.712 0.588
0.700 0.288 0.412
0.726 0.529 0.887
0.957 0.964 0.784
0.196 0.409 0.749
0.341 0.169 0.609
0.439 0.845 0.017
0.561 0.155 0.983
0.659 0.831 0.391
0.804 0.591 0.251
0.167 0.644 0.880
0.174 0.328 0.532
0.354 0.235 0.826
0.371 0.100 0.095
0.415 0.984 0.433
0.585 0.016 0.567
0.629 0.900 0.905
0.646 0.765 0.174
0.826 0.672 0.468
0.833 0.356 0.120
```

Peak list (10 most intense, 15° ≤ 2θ ≤ 90°, by angle)
- 2θ = 24.15°, d 3.685, I = 32.0
- 2θ = 27.98°, d 3.188, I = 63.9
- 2θ = 29.44°, d 3.034, I = 23.8
- 2θ = 29.78°, d 3.000, I = 71.6
- 2θ = 30.53°, d 2.928, I = 78.3
- 2θ = 30.98°, d 2.887, I = 100.0
- 2θ = 32.98°, d 2.716, I = 60.2
- 2θ = 36.25°, d 2.478, I = 48.3
- 2θ = 37.37°, d 2.406, I = 24.9
- 2θ = 39.48°, d 2.282, I = 33.0